Diffraction record for PuH2. The PXRD pattern is theoretical, not measured: it uses a structure optimized by DFT (GGA-PBE) and λ = 1.5418 Å (Cu Kα).

Main lines, in order of rising 2θ (10° ≤ 2θ ≤ 80°):
Position (°2θ), d (Å), intensity, index
28.87, 3.093, 100, 1 1 1
33.45, 2.679, 50, 2 0 0
48.04, 1.894, 39, 2 2 0
57.02, 1.615, 47, 3 1 1
59.80, 1.546, 13, 2 2 2
70.29, 1.339, 6, 4 0 0
77.70, 1.229, 19, 3 3 1

Cell and atoms:
a = 5.357 Å, b = 5.357 Å, c = 5.357 Å
α = 90.00°, β = 90.00°, γ = 90.00°
Space group Fm-3m (No. 225)
Symmetry-distinct sites (fractional):
Pu  0.000  0.000  0.000 x4
H  0.250  0.250  0.250 x8


Diffraction record for Ba2CaCu3F14. The PXRD pattern is theoretical, not measured: it uses a structure optimized by DFT (GGA-PBE) and λ = 1.5418 Å (Cu Kα).

Main lines, in order of rising 2θ (10° ≤ 2θ ≤ 80°):
Position (°2θ), d (Å), intensity, index
23.91, 3.722, 58, 0 0 4
25.35, 3.513, 100, 1 1 0
25.45, 3.499, 98, 1 -2 0
26.86, 3.319, 48, 0 1 -4
29.70, 3.008, 76, 1 0 -4
30.02, 2.977, 59, -1 1 4
33.16, 2.701, 38, 2 -1 0
40.37, 2.234, 38, -2 2 3
41.30, 2.186, 51, 2 -1 4
41.37, 2.183, 46, 0 3 2

Cell and atoms:
a = 5.403 Å, b = 7.414 Å, c = 14.894 Å
α = 91.56°, β = 90.13°, γ = 111.14°
Space group P1 (No. 1)
Symmetry-distinct sites (fractional):
Ba  0.000  0.000  0.000 x1
Ba  0.125  0.999  0.499 x1
Ba  0.383  0.770  0.744 x1
Ba  0.512  0.771  0.245 x1
Ca  0.671  0.384  0.871 x1
Ca  0.836  0.382  0.372 x1
Cu  0.113  0.144  0.747 x1
Cu  0.156  0.145  0.247 x1
Cu  0.351  0.624  0.997 x1
Cu  0.396  0.625  0.497 x1
Cu  0.754  0.385  0.622 x1
Cu  0.756  0.386  0.121 x1
F  0.080  0.632  0.913 x1
F  0.086  0.885  0.214 x1
F  0.123  0.554  0.104 x1
F  0.125  0.648  0.577 x1
F  0.175  0.364  0.467 x1
F  0.196  0.401  0.277 x1
F  0.212  0.703  0.398 x1
F  0.300  0.066  0.845 x1
F  0.312  0.364  0.966 x1
F  0.333  0.405  0.777 x1
F  0.382  0.121  0.667 x1
F  0.398  0.222  0.143 x1
F  0.425  0.888  0.030 x1
F  0.428  0.136  0.332 x1
F  0.559  0.551  0.601 x1
F  0.589  0.888  0.529 x1
F  0.613  0.704  0.900 x1
F  0.644  0.273  0.508 x1
F  0.650  0.642  0.077 x1
F  0.673  0.629  0.414 x1
F  0.754  0.274  0.007 x1
F  0.758  0.498  0.237 x1
F  0.837  0.139  0.831 x1
F  0.857  0.125  0.165 x1
F  0.864  0.496  0.736 x1
F  0.888  0.064  0.346 x1
F  0.920  0.880  0.716 x1
F  0.946  0.217  0.643 x1


Diffraction record for Pr2AlGe6. The PXRD pattern is theoretical, not measured: it uses a structure optimized by DFT (GGA-PBE) and λ = 1.5418 Å (Cu Kα).

Main lines, in order of rising 2θ (10° ≤ 2θ ≤ 80°):
Position (°2θ), d (Å), intensity, index
24.57, 3.624, 13, 2 0 -2
26.29, 3.389, 13, 0 2 2
31.96, 2.800, 100, 2 2 1
32.49, 2.756, 22, 0 2 3
33.87, 2.647, 19, 0 0 4
36.29, 2.475, 28, 2 2 2
40.90, 2.206, 24, 0 4 0
42.83, 2.111, 20, 4 0 -1
60.72, 1.525, 12, 4 4 -1
68.90, 1.363, 9, 2 6 1

Cell and atoms:
a = 8.445 Å, b = 8.825 Å, c = 10.803 Å
α = 90.00°, β = 101.48°, γ = 90.00°
Space group C2/m (No. 12)
Symmetry-distinct sites (fractional):
Pr  0.086  0.248  0.337 x8
Al  0.200  0.000  0.805 x4
Ge  0.011  0.500  0.886 x4
Ge  0.069  0.000  0.114 x4
Ge  0.140  0.500  0.581 x4
Ge  0.147  0.000  0.564 x4
Ge  0.221  0.286  0.886 x8


Diffraction record for KLaEuSbO6. The PXRD pattern is theoretical, not measured: it uses a structure optimized by DFT (GGA-PBE) and λ = 1.5418 Å (Cu Kα).

Main lines, in order of rising 2θ (10° ≤ 2θ ≤ 80°):
Position (°2θ), d (Å), intensity, index
13.50, 6.559, 17, 0 1 1
27.20, 3.278, 100, 0 2 2
27.41, 3.254, 48, 2 2 0
38.55, 2.335, 15, 0 0 4
39.15, 2.301, 27, 4 0 0
47.95, 1.897, 23, 2 2 4
48.33, 1.883, 47, 2 4 2
56.11, 1.639, 17, 4 0 4
76.77, 1.242, 12, 2 4 6
77.53, 1.231, 11, 4 6 2

Cell and atoms:
a = 9.197 Å, b = 9.211 Å, c = 9.341 Å
α = 90.00°, β = 90.00°, γ = 90.00°
Space group Pnnn (No. 48, origin choice 2)
Symmetry-distinct sites (fractional):
K  0.250  0.250  0.250 x2
K  0.250  0.750  0.750 x2
La  0.000  0.000  0.000 x4
Eu  0.250  0.250  0.750 x2
Eu  0.250  0.750  0.250 x2
Sb  0.000  0.000  0.500 x4
O  0.042  0.056  0.731 x8
O  0.049  0.729  0.965 x8
O  0.229  0.038  0.453 x8


Diffraction record for Ti2ReTc. The PXRD pattern is theoretical, not measured: it uses a structure optimized by DFT (GGA-PBE) and λ = 1.5418 Å (Cu Kα).

Main lines, in order of rising 2θ (10° ≤ 2θ ≤ 80°):
Position (°2θ), d (Å), intensity, index
24.74, 3.599, 11, 1 1 1
28.64, 3.117, 32, 2 0 0
40.95, 2.204, 100, 2 2 0
48.43, 1.880, 6, 3 1 1
50.73, 1.800, 9, 2 2 2
59.30, 1.558, 16, 4 0 0
65.24, 1.430, 3, 3 3 1
67.16, 1.394, 13, 4 2 0
74.58, 1.272, 33, 4 2 2
79.97, 1.200, 2, 5 1 1

Cell and atoms:
a = 6.234 Å, b = 6.234 Å, c = 6.234 Å
α = 90.00°, β = 90.00°, γ = 90.00°
Space group Fm-3m (No. 225)
Symmetry-distinct sites (fractional):
Ti  0.250  0.250  0.250 x8
Re  0.000  0.000  0.000 x4
Tc  0.000  0.000  0.500 x4